For LaPr2Cu2Si2Ge2Pd2, a GGA-PBE-relaxed structure gives the computed X-ray diffraction stick pattern in this record (Cu Kα (λ = 1.5418 Å)).
Lines closer than 0.1° are merged.

Atomic structure:
Lattice parameters (Å, degrees): 12.514 12.514 12.514 160.50 160.00 28.07
Element x y z (fractional)
La: 0.000 0.000 0.000
Pr: 0.147 0.647 0.500
Pr: 0.853 0.353 0.500
Cu: 0.406 0.906 0.500
Cu: 0.594 0.094 0.500
Si: 0.450 0.450 0.000
Si: 0.550 0.550 0.000
Ge: 0.307 0.807 0.500
Ge: 0.693 0.193 0.500
Pd: 0.249 0.249 0.000
Pd: 0.751 0.751 0.000

Principal peaks in the range 15° ≤ 2θ ≤ 90°, in order of rising 2θ:
Position (°2θ)  d_spacing  Rel. int.
33.0  2.713  1000
37.0  2.427  84
41.6  2.173  193
42.1  2.146  84
42.7  2.119  179
46.4  1.958  115
55.0  1.669  127
61.1  1.517  128
64.0  1.454  86
70.4  1.337  107